Li3Mn4B4O12: calculated PXRD pattern (a wavelength of 1.5418 Å), based on the GGA+U geometry in Alexandria.
Peak positions follow from Bragg's law for the DFT cell and can differ from measured ones.

Atomic structure:
```
23
Lattice="5.6863 0.0000 0.0000 2.4963 5.1119 0.0000 2.4971 1.2146 8.9962" Properties=species:S:1:pos:R:3 pbc="T T T"
Li 0.0000 0.0000 0.0000
Li 2.0237 2.3470 3.2298
Li 4.2226 3.5337 7.0619
Mn 2.4982 1.1824 0.7004
Mn 6.1007 4.5848 4.2729
Mn 5.2054 2.9454 1.0397
Mn 6.2266 1.2962 5.4777
B 3.4112 4.9123 2.9755
B 4.5436 1.9759 3.3599
B 6.6071 3.9264 7.2844
B 8.7334 5.4254 7.8431
O 3.4419 2.9808 8.8204
O 4.1843 5.5853 3.9353
O 3.8286 4.9654 1.6244
O 3.7141 1.7751 2.2548
O 6.1936 3.6479 8.5665
O 4.3096 1.4462 4.6041
O 6.0271 3.3740 6.1645
O 5.6788 2.7642 3.1360
O 7.6591 4.8502 7.0743
O 6.1250 4.6244 0.1432
O 7.9928 4.2092 3.3281
O 9.8626 5.6285 7.1175
```

The 12 most intense peaks (15 to 90 degrees two-theta), sorted by position:
- 17.67 deg, I = 100, (1 0 0)
- 18.89 deg, I = 95, (1 1 1)
- 19.74 deg, I = 41, (0 0 2)
- 21.83 deg, I = 39, (1 0 -1)
- 23.22 deg, I = 29, (1 1 2)
- 28.24 deg, I = 31, (0 1 -2)
- 29.67 deg, I = 42, (1 -1 0)
- 30.42 deg, I = 42, (1 1 3)
- 31.62 deg, I = 98, (-1 1 1)
- 36.46 deg, I = 41, (1 2 -1)
- 43.27 deg, I = 44, (2 2 -1)
- 50.05 deg, I = 33, (2 3 2)